Starting from a structure optimized by DFT (PBE+U), the powder X-ray diffraction pattern of P4WO12 was computed for Cu Kα.
Peak positions follow from Bragg's law for the DFT cell and can differ from measured ones.

Cell and atoms:
```
P4WO12
1.0
8.738 -6.362 0.000
8.738 6.362 0.000
-1.220 0.000 5.246
P W O
8 2 24
Cartesian
6.363 3.588 4.350
4.849 1.513 2.858
9.893 3.588 0.896
4.849 -1.513 2.858
11.407 1.513 2.388
6.363 -3.588 4.350
11.407 -1.513 2.388
9.893 -3.588 0.896
4.369 3.181 0.000
4.369 -3.181 0.000
6.731 4.766 3.579
6.339 3.620 0.026
3.608 1.888 3.631
4.732 1.644 1.347
9.525 4.766 1.667
6.134 2.251 3.376
8.738 2.904 0.000
5.247 0.000 3.165
9.917 3.620 5.220
3.608 -1.888 3.631
4.732 -1.644 1.347
10.122 2.251 1.871
6.134 -2.251 3.376
11.523 1.644 3.900
12.648 1.888 1.616
6.339 -3.620 0.026
11.009 0.000 2.081
8.738 -2.904 0.000
10.122 -2.251 1.871
6.731 -4.766 3.579
11.523 -1.644 3.900
12.648 -1.888 1.616
9.917 -3.620 5.220
9.525 -4.766 1.667
```

Top 6 peaks for 15 to 90 degrees two-theta, in order of falling intensity:
2θ 21.96, rel. 100
2θ 32.93, rel. 52
2θ 23.75, rel. 45
2θ 25.98, rel. 42
2θ 17.40, rel. 41
2θ 27.63, rel. 40